No. 1
This entry pairs a crystal structure of PrSiRhN with its computed X-ray diffraction stick pattern. Radiation: copper Kα. Structure: a DFT-relaxed cell (GGA-PBE, Alexandria).
Neutral-atom scattering factors, no anomalous dispersion.

Crystal structure
```
data_PrSiRhN
_chemical_formula_sum 'Pr2 Si2 Rh2 N2'
_cell_length_a 3.9889
_cell_length_b 3.9889
_cell_length_c 8.2374
_cell_angle_alpha 90.00
_cell_angle_beta 90.00
_cell_angle_gamma 90.00
_symmetry_space_group_name_H-M 'P 1'
_symmetry_Int_Tables_number 1
loop_
_symmetry_equiv_pos_as_xyz
'x,y,z'
loop_
_atom_site_label
_atom_site_type_symbol
_atom_site_fract_x
_atom_site_fract_y
_atom_site_fract_z
_atom_site_occupancy
Pr1 Pr 0.2500 0.2500 0.1599 1
Pr2 Pr 0.7500 0.7500 0.8401 1
Si1 Si 0.2500 0.2500 0.6553 1
Si2 Si 0.7500 0.7500 0.3447 1
Rh1 Rh 0.2500 0.7500 0.5000 1
Rh2 Rh 0.7500 0.2500 0.5000 1
N1 N 0.2500 0.2500 0.8681 1
N2 N 0.7500 0.7500 0.1319 1
```

The 10 most intense peaks (2θ = 10–90°), in order of rising 2θ:
- 2θ = 24.80°, intensity 50
- 2θ = 31.21°, intensity 79
- 2θ = 32.61°, intensity 46
- 2θ = 33.58°, intensity 100
- 2θ = 38.69°, intensity 70
- 2θ = 45.48°, intensity 58
- 2θ = 55.23°, intensity 40
- 2θ = 56.19°, intensity 31
- 2θ = 57.08°, intensity 37
- 2θ = 66.27°, intensity 18



No. 2
This entry pairs a crystal structure of Dy6AsO12 with its computed X-ray diffraction stick pattern. Radiation: copper Kα. Structure: a DFT-relaxed cell (GGA-PBE, Alexandria).
Neutral-atom scattering factors, no anomalous dispersion.

Crystal structure
```
data_Dy6AsO12
_chemical_formula_sum 'Dy6 As1 O12'
_cell_length_a 6.4192
_cell_length_b 6.4192
_cell_length_c 6.4192
_cell_angle_alpha 98.62
_cell_angle_beta 98.62
_cell_angle_gamma 98.62
_symmetry_space_group_name_H-M 'P 1'
_symmetry_Int_Tables_number 1
loop_
_symmetry_equiv_pos_as_xyz
'x,y,z'
loop_
_atom_site_label
_atom_site_type_symbol
_atom_site_fract_x
_atom_site_fract_y
_atom_site_fract_z
_atom_site_occupancy
Dy1 Dy 0.1104 0.6397 0.7981 1
Dy2 Dy 0.2019 0.8896 0.3603 1
Dy3 Dy 0.3603 0.2019 0.8896 1
Dy4 Dy 0.6397 0.7981 0.1104 1
Dy5 Dy 0.7981 0.1104 0.6397 1
Dy6 Dy 0.8896 0.3603 0.2019 1
As1 As 0.5000 0.5000 0.5000 1
O1 O 0.0591 0.3225 0.9088 1
O2 O 0.0912 0.9409 0.6775 1
O3 O 0.2080 0.5324 0.4354 1
O4 O 0.3225 0.9088 0.0591 1
O5 O 0.4354 0.2080 0.5324 1
O6 O 0.4676 0.5646 0.7920 1
O7 O 0.5324 0.4354 0.2080 1
O8 O 0.5646 0.7920 0.4676 1
O9 O 0.6775 0.0912 0.9409 1
O10 O 0.7920 0.4676 0.5646 1
O11 O 0.9088 0.0591 0.3225 1
O12 O 0.9409 0.6775 0.0912 1
```

The 10 most intense peaks (2θ = 10–90°), in order of rising 2θ:
- 2θ = 18.23°, intensity 10
- 2θ = 28.79°, intensity 34
- 2θ = 29.63°, intensity 100
- 2θ = 34.11°, intensity 46
- 2θ = 48.45°, intensity 29
- 2θ = 49.55°, intensity 27
- 2θ = 57.34°, intensity 13
- 2θ = 58.32°, intensity 24
- 2θ = 58.80°, intensity 12
- 2θ = 61.52°, intensity 10